1.
Diffraction record for Rb2ScAgI6. The PXRD pattern is simulated, not measured: it uses DFT lattice parameters and positions (PBE) and Cu Kα.
Neutral-atom scattering factors, no anomalous dispersion.

Largest 6 diffraction maxima, sorted by position, 2θ from 10° to 90°:
- 15.0 deg, intensity 26
- 26.1 deg, intensity 98
- 30.2 deg, intensity 100
- 43.3 deg, intensity 73
- 51.2 deg, intensity 45
- 71.3 deg, intensity 32

```
Rb2ScAgI6
1.0
0.0000 5.9149 5.9149
5.9149 0.0000 5.9149
5.9149 5.9149 0.0000
Rb Sc Ag I
2 1 1 6
direct
0.2500 0.2500 0.2500
0.7500 0.7500 0.7500
0.0000 0.0000 0.0000
0.5000 0.5000 0.5000
0.2451 0.2451 0.7549
0.2451 0.7549 0.2451
0.2451 0.7549 0.7549
0.7549 0.2451 0.2451
0.7549 0.2451 0.7549
0.7549 0.7549 0.2451
```


2.
Diffraction record for AgS6I. The PXRD pattern is simulated, not measured: it uses DFT lattice parameters and positions (PBE) and Cu Kα.
Neutral-atom scattering factors, no anomalous dispersion.

Largest 6 diffraction maxima, sorted by position, 2θ from 10° to 90°:
- 17.1 deg, intensity 99
- 28.1 deg, intensity 91
- 33.1 deg, intensity 100
- 40.2 deg, intensity 71
- 43.9 deg, intensity 75
- 58.1 deg, intensity 36

```
AgS6I
1.0
0.0000 4.4919 4.4919
4.4919 0.0000 4.4919
4.4919 4.4919 0.0000
Ag S I
1 6 1
direct
0.0000 0.0000 0.0000
0.2975 0.2975 0.7025
0.2975 0.7025 0.2975
0.2975 0.7025 0.7025
0.7025 0.2975 0.2975
0.7025 0.2975 0.7025
0.7025 0.7025 0.2975
0.2500 0.2500 0.2500
```


3.
Diffraction record for Tl3AgI5. The PXRD pattern is simulated, not measured: it uses DFT lattice parameters and positions (PBE) and Cu Kα.
Neutral-atom scattering factors, no anomalous dispersion.

Largest 6 diffraction maxima, sorted by position, 2θ from 10° to 90°:
- 21.3 deg, intensity 26
- 26.5 deg, intensity 25
- 28.8 deg, intensity 85
- 29.0 deg, intensity 100
- 31.5 deg, intensity 95
- 43.3 deg, intensity 37

```
Tl3AgI5
1.0
10.6491 0.0000 0.0000
-5.3246 9.2224 0.0000
0.0000 0.0000 13.4524
Tl Ag I
12 4 20
direct
0.0000 0.3668 0.0000
0.0000 0.3668 0.5000
0.0319 0.6442 0.2500
0.3558 0.3877 0.2500
0.3668 0.0000 0.0000
0.3668 0.0000 0.5000
0.3877 0.3558 0.7500
0.6123 0.9681 0.2500
0.6332 0.6332 0.0000
0.6332 0.6332 0.5000
0.6442 0.0319 0.7500
0.9681 0.6123 0.7500
0.0000 0.0000 0.1196
0.0000 0.0000 0.3804
0.0000 0.0000 0.6196
0.0000 0.0000 0.8804
0.0000 0.7521 0.0000
0.0000 0.7521 0.5000
0.0063 0.2465 0.7500
0.2401 0.9937 0.7500
0.2465 0.0063 0.2500
0.2479 0.2479 0.0000
0.2479 0.2479 0.5000
0.3333 0.6667 0.1028
0.3333 0.6667 0.3972
0.3333 0.6667 0.6420
0.3333 0.6667 0.8580
0.6667 0.3333 0.1420
0.6667 0.3333 0.3580
0.6667 0.3333 0.6028
0.6667 0.3333 0.8972
0.7521 0.0000 0.0000
0.7521 0.0000 0.5000
0.7535 0.7599 0.7500
0.7599 0.7535 0.2500
0.9937 0.2401 0.2500
```


4.
Diffraction record for InAg15. The PXRD pattern is simulated, not measured: it uses DFT lattice parameters and positions (PBE) and Cu Kα.
Neutral-atom scattering factors, no anomalous dispersion.

Largest 6 diffraction maxima, sorted by position, 2θ from 10° to 90°:
- 37.3 deg, intensity 100
- 38.5 deg, intensity 30
- 38.6 deg, intensity 29
- 44.3 deg, intensity 48
- 63.9 deg, intensity 23
- 76.9 deg, intensity 22

```
InAg15
1.0
2.8949 0.0000 0.0000
-0.0001 5.7799 0.0000
-0.0015 -0.0005 43.5591
In Ag
2 30
direct
0.2488 0.3744 0.1327
0.7512 0.6256 0.8673
0.2499 0.3749 0.2364
0.2500 0.3748 0.3328
0.2500 0.3749 0.4284
0.2500 0.3753 0.5239
0.2500 0.3749 0.6194
0.2500 0.3756 0.7153
0.2501 0.3772 0.8121
0.2501 0.8736 0.8120
0.2500 0.8746 0.1400
0.2499 0.8745 0.2366
0.2500 0.8749 0.3326
0.2500 0.8749 0.4285
0.2500 0.8748 0.5238
0.2500 0.8754 0.6194
0.2500 0.8750 0.7154
0.7500 0.1250 0.2846
0.7500 0.1246 0.3806
0.7500 0.1252 0.4762
0.7500 0.1251 0.5715
0.7500 0.1251 0.6674
0.7501 0.1255 0.7634
0.7500 0.1254 0.8600
0.7499 0.1264 0.1880
0.7499 0.6228 0.1879
0.7500 0.6244 0.2847
0.7500 0.6251 0.3806
0.7500 0.6247 0.4761
0.7500 0.6251 0.5716
0.7500 0.6252 0.6672
0.7501 0.6251 0.7636
```


5.
Diffraction record for InAg15. The PXRD pattern is simulated, not measured: it uses DFT lattice parameters and positions (PBE) and Cu Kα.
Neutral-atom scattering factors, no anomalous dispersion.

Largest 6 diffraction maxima, sorted by position, 2θ from 10° to 90°:
- 37.5 deg, intensity 100
- 38.0 deg, intensity 98
- 43.6 deg, intensity 65
- 44.6 deg, intensity 31
- 64.1 deg, intensity 50
- 76.6 deg, intensity 23

```
InAg15
1.0
4.9988 0.0000 0.0000
0.0000 32.6591 0.0000
-1.6167 0.0000 4.7330
In Ag
2 30
direct
0.0000 0.1532 0.2500
0.0000 0.8468 0.7500
0.0000 0.2032 0.7500
0.0000 0.2509 0.2500
0.0000 0.2957 0.7500
0.0000 0.3420 0.2500
0.0000 0.3868 0.7500
0.0000 0.4321 0.2500
0.0000 0.4774 0.7500
0.0000 0.5226 0.2500
0.0000 0.5679 0.7500
0.0000 0.6132 0.2500
0.0000 0.6580 0.7500
0.0000 0.7043 0.2500
0.0000 0.7491 0.7500
0.0000 0.7968 0.2500
0.5000 0.1587 0.7500
0.5000 0.2030 0.2500
0.5000 0.2498 0.7500
0.5000 0.2955 0.2500
0.5000 0.3410 0.7500
0.5000 0.3867 0.2500
0.5000 0.4319 0.7500
0.5000 0.4774 0.2500
0.5000 0.5226 0.7500
0.5000 0.5681 0.2500
0.5000 0.6133 0.7500
0.5000 0.6590 0.2500
0.5000 0.7045 0.7500
0.5000 0.7502 0.2500
0.5000 0.7970 0.7500
0.5000 0.8413 0.2500
```


6.
Diffraction record for InAg15. The PXRD pattern is simulated, not measured: it uses DFT lattice parameters and positions (PBE) and Cu Kα.
Neutral-atom scattering factors, no anomalous dispersion.

Largest 6 diffraction maxima, sorted by position, 2θ from 10° to 90°:
- 35.7 deg, intensity 39
- 37.9 deg, intensity 67
- 38.1 deg, intensity 100
- 42.0 deg, intensity 24
- 43.9 deg, intensity 43
- 44.5 deg, intensity 31

```
InAg15
1.0
8.1447 0.0000 0.0000
0.0000 2.9064 0.0000
-0.0346 0.0000 35.1142
In Ag
2 30
direct
0.1229 0.2500 0.3266
0.8771 0.7500 0.6734
0.1217 0.2500 0.7226
0.1250 0.2500 0.0641
0.1249 0.2500 0.1490
0.1247 0.2500 0.8084
0.1249 0.2500 0.8936
0.1251 0.2500 0.9788
0.1255 0.2500 0.2341
0.3709 0.7500 0.2781
0.3742 0.7500 0.6840
0.3751 0.7500 0.0213
0.3748 0.7500 0.1066
0.3747 0.7500 0.1916
0.3749 0.7500 0.8510
0.3750 0.7500 0.9362
0.3757 0.7500 0.7665
0.6243 0.2500 0.2335
0.6250 0.2500 0.0638
0.6251 0.2500 0.1490
0.6253 0.2500 0.8084
0.6252 0.2500 0.8934
0.6249 0.2500 0.9787
0.6258 0.2500 0.3160
0.6291 0.2500 0.7219
0.8745 0.7500 0.7659
0.8749 0.7500 0.0212
0.8751 0.7500 0.1064
0.8753 0.7500 0.1916
0.8751 0.7500 0.8510
0.8750 0.7500 0.9359
0.8783 0.7500 0.2774
```


7.
Diffraction record for InAg15. The PXRD pattern is simulated, not measured: it uses DFT lattice parameters and positions (PBE) and Cu Kα.
Neutral-atom scattering factors, no anomalous dispersion.

Largest 6 diffraction maxima, sorted by position, 2θ from 10° to 90°:
- 36.8 deg, intensity 18
- 37.9 deg, intensity 100
- 43.7 deg, intensity 15
- 44.3 deg, intensity 39
- 64.0 deg, intensity 19
- 77.3 deg, intensity 23

```
InAg15
1.0
4.0901 0.0000 0.0000
0.0000 4.0889 0.0000
0.0000 0.0000 45.6069
In Ag
2 30
direct
0.2500 0.0000 0.1518
0.7500 0.0000 0.8482
0.2500 0.0000 0.2490
0.2500 0.0000 0.3406
0.2500 0.0000 0.4318
0.2500 0.0000 0.5227
0.2500 0.0000 0.6138
0.2500 0.0000 0.7052
0.2500 0.0000 0.7973
0.2500 0.5000 0.2028
0.2500 0.5000 0.2948
0.2500 0.5000 0.3861
0.2500 0.5000 0.4772
0.2500 0.5000 0.5681
0.2500 0.5000 0.6593
0.2500 0.5000 0.7510
0.2500 0.5000 0.8448
0.7500 0.0000 0.2027
0.7500 0.0000 0.2948
0.7500 0.0000 0.3862
0.7500 0.0000 0.4773
0.7500 0.0000 0.5682
0.7500 0.0000 0.6594
0.7500 0.0000 0.7510
0.7500 0.5000 0.1552
0.7500 0.5000 0.2490
0.7500 0.5000 0.3407
0.7500 0.5000 0.4319
0.7500 0.5000 0.5228
0.7500 0.5000 0.6139
0.7500 0.5000 0.7052
0.7500 0.5000 0.7972
```


8.
Diffraction record for In4Ag9. The PXRD pattern is simulated, not measured: it uses DFT lattice parameters and positions (PBE) and Cu Kα.
Neutral-atom scattering factors, no anomalous dispersion.

Largest 6 diffraction maxima, sorted by position, 2θ from 10° to 90°:
- 31.1 deg, intensity 5
- 38.3 deg, intensity 100
- 55.3 deg, intensity 10
- 64.8 deg, intensity 5
- 69.2 deg, intensity 21
- 77.8 deg, intensity 10

```
In4Ag9
1.0
9.9727 0.0000 0.0000
0.0000 9.9727 0.0000
0.0000 0.0000 9.9727
In Ag
16 36
direct
0.0341 0.3099 0.3099
0.0341 0.6901 0.6901
0.3099 0.0341 0.3099
0.3099 0.3099 0.0341
0.3099 0.6901 0.9659
0.3099 0.9659 0.6901
0.3760 0.3760 0.6240
0.3760 0.6240 0.3760
0.6240 0.3760 0.3760
0.6240 0.6240 0.6240
0.6901 0.0341 0.6901
0.6901 0.3099 0.9659
0.6901 0.6901 0.0341
0.6901 0.9659 0.3099
0.9659 0.3099 0.6901
0.9659 0.6901 0.3099
0.0000 0.0000 0.3556
0.0000 0.0000 0.6444
0.0000 0.3556 0.0000
0.0000 0.6444 0.0000
0.1052 0.1052 0.1052
0.1052 0.8948 0.8948
0.1429 0.5000 0.5000
0.1756 0.1756 0.8244
0.1756 0.8244 0.1756
0.1819 0.1819 0.5282
0.1819 0.4718 0.8181
0.1819 0.5282 0.1819
0.1819 0.8181 0.4718
0.3314 0.3314 0.3314
0.3314 0.6686 0.6686
0.3556 0.0000 0.0000
0.4718 0.1819 0.8181
0.4718 0.8181 0.1819
0.5000 0.1429 0.5000
0.5000 0.5000 0.1429
0.5000 0.5000 0.8571
0.5000 0.8571 0.5000
0.5282 0.1819 0.1819
0.5282 0.8181 0.8181
0.6444 0.0000 0.0000
0.6686 0.3314 0.6686
0.6686 0.6686 0.3314
0.8181 0.1819 0.4718
0.8181 0.4718 0.1819
0.8181 0.5282 0.8181
0.8181 0.8181 0.5282
0.8244 0.1756 0.1756
0.8244 0.8244 0.8244
0.8571 0.5000 0.5000
0.8948 0.1052 0.8948
0.8948 0.8948 0.1052
```